Computed powder X-ray diffraction pattern
Compound: Cr4Si2Cl2O7
Radiation: Cu Kα (λ = 1.5418 Å)
Structure: the GGA+U geometry in Alexandria

```
Cr4Si2Cl2O7
1.0
6.504 0.000 0.000
0.000 12.934 0.000
-0.370 0.000 10.641
Cr Si Cl O
16 8 8 28
Cartesian
0.000 0.407 0.000 Cr
-0.185 12.527 5.321 Cr
-0.141 3.559 5.180 Cr
-0.325 9.376 10.500 Cr
2.084 1.495 3.342 Cr
1.899 11.440 8.662 Cr
2.082 1.655 8.572 Cr
2.267 11.280 3.251 Cr
2.500 4.699 3.105 Cr
2.315 8.235 8.426 Cr
2.339 4.829 8.465 Cr
2.524 8.105 3.145 Cr
4.406 3.020 10.529 Cr
4.591 9.915 5.208 Cr
4.632 5.938 6.334 Cr
4.817 6.996 1.014 Cr
1.557 3.370 0.560 Si
1.372 9.565 5.881 Si
1.433 6.415 5.710 Si
1.618 6.519 0.390 Si
3.093 0.014 5.877 Si
3.278 12.921 0.556 Si
3.121 3.093 5.796 Si
3.306 9.841 0.475 Si
-0.244 1.527 7.185 Cl
-0.059 11.407 1.865 Cl
4.895 4.805 2.112 Cl
4.710 8.129 7.432 Cl
4.947 4.973 9.166 Cl
5.131 7.962 3.846 Cl
5.982 1.601 3.698 Cl
5.797 11.334 9.019 Cl
0.245 2.486 0.188 O
0.060 10.449 5.509 O
0.108 5.486 5.899 O
0.293 7.448 0.578 O
1.214 4.963 0.767 O
1.029 7.972 6.087 O
1.664 0.241 10.085 O
1.849 12.693 4.764 O
1.905 3.382 4.676 O
1.720 9.553 9.997 O
2.083 6.384 4.203 O
1.898 6.550 9.524 O
2.281 2.965 1.971 O
2.096 9.969 7.291 O
2.321 3.265 9.974 O
2.506 9.669 4.653 O
2.749 0.020 2.092 O
2.564 12.914 7.413 O
2.577 3.171 7.319 O
2.761 9.763 1.999 O
2.600 6.008 6.807 O
2.785 6.927 1.486 O
3.546 1.541 5.471 O
3.731 11.394 0.151 O
4.518 0.981 0.200 O
4.333 11.953 5.520 O
4.388 4.066 5.486 O
4.573 8.869 0.165 O
```

Top 8 peaks for 2θ from 15° to 90°, in order of rising 2θ:
4.049 Å, 2θ 21.95, rel. 40, hkl 1 0 2; 3.250 Å, 2θ 27.44, rel. 27, hkl 2 0 0; 3.110 Å, 2θ 28.70, rel. 26, hkl 0 2 3; 2.998 Å, 2θ 29.80, rel. 26, hkl 2 1 1; 2.818 Å, 2θ 31.76, rel. 25, hkl 2 0 -2; 2.773 Å, 2θ 32.29, rel. 26, hkl 1 2 3; 2.763 Å, 2θ 32.40, rel. 100, hkl 0 4 2; 2.732 Å, 2θ 32.78, rel. 25, hkl 2 0 2